Calculated powder XRD pattern
Compound: ZrZn4
Radiation: Cu Kα (λ = 1.5418 Å)
Structure: a crystal structure in Alexandria, relaxed with GGA-PBE

The 10 most intense peaks (2θ = 10–80°), sorted by position:
| d (Å) | 2θ/deg | I (rel.) |
| --- | --- | --- |
| 2.373 | 37.9 | 100 |
| 2.241 | 40.2 | 98 |
| 2.190 | 41.2 | 46 |
| 2.126 | 42.5 | 43 |
| 2.115 | 42.8 | 19 |
| 1.758 | 52.0 | 14 |
| 1.525 | 60.7 | 28 |
| 1.252 | 76.0 | 14 |
| 1.248 | 76.3 | 14 |
| 1.226 | 77.9 | 28 |

```
ZrZn4
1.0
-2.1262 2.9302 6.5907
2.1262 -2.9302 6.5907
2.1262 2.9302 -6.5907
Zr Zn
2 8
Direct
0.3593 0.1093 0.2500
0.6407 0.8907 0.7500
0.0000 0.5000 0.5000
0.1391 0.8891 0.2500
0.1935 0.6987 0.4948
0.2961 0.3013 0.9948
0.5000 0.5000 0.0000
0.7039 0.6987 0.0052
0.8065 0.3013 0.5052
0.8609 0.1109 0.7500
```

Calculated powder XRD pattern
Compound: CsNdCdCl6
Radiation: Cu Kα (λ = 1.5418 Å)
Structure: a crystal structure in Alexandria, relaxed with GGA-PBE

The 10 most intense peaks (2θ = 10–80°), sorted by position:
| d (Å) | 2θ/deg | I (rel.) |
| --- | --- | --- |
| 8.271 | 10.7 | 50 |
| 4.306 | 20.6 | 37 |
| 4.279 | 20.8 | 100 |
| 4.145 | 21.4 | 56 |
| 3.981 | 22.3 | 67 |
| 2.757 | 32.5 | 30 |
| 2.493 | 36.0 | 36 |
| 2.399 | 37.5 | 22 |
| 2.382 | 37.8 | 23 |
| 2.140 | 42.2 | 26 |

```
CsNdCdCl6
1.0
-4.7979 5.0757 7.1315
4.7979 -5.0757 7.1315
4.7979 5.0757 -7.1315
Cs Nd Cd Cl
2 2 2 12
Direct
0.3025 0.0525 0.2500
0.6975 0.9475 0.7500
0.0000 0.5000 0.5000
0.5000 0.5000 0.0000
0.0000 0.0000 0.5000
0.0000 0.5000 0.0000
0.0608 0.4044 0.2265
0.0610 0.8110 0.2500
0.0608 0.8343 0.6563
0.3220 0.1657 0.7265
0.3220 0.5956 0.1563
0.3287 0.5787 0.7500
0.6713 0.4213 0.2500
0.6780 0.4044 0.8437
0.6780 0.8343 0.2735
0.9392 0.1657 0.3437
0.9390 0.1890 0.7500
0.9392 0.5956 0.7735
```

Calculated powder XRD pattern
Compound: SrH2IrPt
Radiation: Cu Kα (λ = 1.5418 Å)
Structure: a crystal structure in Alexandria, relaxed with GGA-PBE

The 10 most intense peaks (2θ = 10–80°), sorted by position:
| d (Å) | 2θ/deg | I (rel.) |
| --- | --- | --- |
| 5.117 | 17.3 | 100 |
| 3.225 | 27.7 | 26 |
| 3.206 | 27.8 | 28 |
| 2.754 | 32.5 | 45 |
| 2.558 | 35.1 | 40 |
| 2.216 | 40.7 | 24 |
| 2.200 | 41.0 | 23 |
| 2.141 | 42.2 | 17 |
| 2.073 | 43.7 | 24 |
| 1.611 | 57.2 | 22 |

```
SrH2IrPt
1.0
4.1470 0.0000 0.0000
-2.0416 3.9630 0.0000
-0.0207 -1.8200 5.1168
Sr H Ir Pt
1 2 1 1
Direct
0.0000 0.0000 0.0000
0.4712 0.9405 0.2355
0.6537 0.3080 0.8956
0.5672 0.1333 0.5625
0.2515 0.5119 0.5672
```

Calculated powder XRD pattern
Compound: Pu4CuPt3
Radiation: Cu Kα (λ = 1.5418 Å)
Structure: a crystal structure in Alexandria, relaxed with GGA-PBE

The 10 most intense peaks (2θ = 10–80°), sorted by position:
| d (Å) | 2θ/deg | I (rel.) |
| --- | --- | --- |
| 5.347 | 16.6 | 2 |
| 3.781 | 23.5 | 6 |
| 2.674 | 33.5 | 73 |
| 2.326 | 38.7 | 100 |
| 1.981 | 45.8 | 2 |
| 1.891 | 48.1 | 27 |
| 1.475 | 63.0 | 6 |
| 1.467 | 63.4 | 48 |
| 1.337 | 70.4 | 9 |
| 1.292 | 73.3 | 16 |

```
Pu4CuPt3
1.0
2.9510 0.0000 0.0000
0.0000 5.3481 0.0000
0.0000 0.0000 10.6927
Pu Cu Pt
4 1 3
Direct
0.0000 0.0000 0.0000
0.0000 0.0000 0.5000
0.0000 0.5000 0.2495
0.0000 0.5000 0.7505
0.5000 0.5000 0.5000
0.5000 0.0000 0.2508
0.5000 0.0000 0.7492
0.5000 0.5000 0.0000
```

Calculated powder XRD pattern
Compound: Zn6CuAg5
Radiation: Cu Kα (λ = 1.5418 Å)
Structure: a crystal structure in Alexandria, relaxed with GGA-PBE

The 10 most intense peaks (2θ = 10–80°), sorted by position:
| d (Å) | 2θ/deg | I (rel.) |
| --- | --- | --- |
| 2.299 | 39.2 | 100 |
| 2.050 | 44.2 | 17 |
| 2.016 | 45.0 | 17 |
| 1.915 | 47.5 | 14 |
| 1.437 | 64.9 | 10 |
| 1.399 | 66.9 | 9 |
| 1.390 | 67.4 | 5 |
| 1.226 | 77.9 | 12 |
| 1.212 | 79.0 | 6 |
| 1.211 | 79.1 | 6 |

```
Zn6CuAg5
1.0
4.3236 -6.1503 0.0000
4.3236 6.1503 0.0000
-1.8719 0.0000 3.5713
Zn Cu Ag
6 1 5
Direct
0.0830 0.4071 0.7447
0.2403 0.2403 0.2401
0.4071 0.0830 0.7447
0.5929 0.9170 0.2553
0.7597 0.7597 0.7599
0.9170 0.5929 0.2553
0.0000 0.0000 0.5000
0.1642 0.8358 0.0000
0.3336 0.6664 0.5000
0.5000 0.5000 0.0000
0.6664 0.3336 0.5000
0.8358 0.1642 0.0000
```

Calculated powder XRD pattern
Compound: SrNd2In9
Radiation: Cu Kα (λ = 1.5418 Å)
Structure: a crystal structure in Alexandria, relaxed with GGA-PBE

The 7 most intense peaks (2θ = 10–80°), sorted by position:
| d (Å) | 2θ/deg | I (rel.) |
| --- | --- | --- |
| 4.520 | 19.6 | 1 |
| 2.752 | 32.5 | 100 |
| 2.453 | 36.6 | 1 |
| 2.383 | 37.7 | 50 |
| 1.685 | 54.4 | 33 |
| 1.437 | 64.9 | 39 |
| 1.376 | 68.1 | 11 |

```
SrNd2In9
1.0
4.7641 0.0000 0.0000
0.0000 4.7641 0.0000
0.0000 0.0000 14.3158
Sr Nd In
1 2 9
Direct
0.0000 0.0000 0.0000
0.0000 0.0000 0.3382
0.0000 0.0000 0.6618
0.0000 0.5000 0.1715
0.0000 0.5000 0.5000
0.0000 0.5000 0.8285
0.5000 0.0000 0.1715
0.5000 0.0000 0.5000
0.5000 0.0000 0.8285
0.5000 0.5000 0.0000
0.5000 0.5000 0.3347
0.5000 0.5000 0.6653
```

Calculated powder XRD pattern
Compound: NbH3I6
Radiation: Cu Kα (λ = 1.5418 Å)
Structure: a crystal structure in Alexandria, relaxed with GGA-PBE

The 10 most intense peaks (2θ = 10–80°), sorted by position:
| d (Å) | 2θ/deg | I (rel.) |
| --- | --- | --- |
| 7.314 | 12.1 | 37 |
| 6.212 | 14.3 | 24 |
| 3.787 | 23.5 | 33 |
| 3.751 | 23.7 | 42 |
| 3.657 | 24.3 | 25 |
| 3.395 | 26.3 | 28 |
| 3.313 | 26.9 | 100 |
| 3.143 | 28.4 | 38 |
| 2.754 | 32.5 | 24 |
| 1.969 | 46.1 | 23 |

```
NbH3I6
1.0
6.7706 0.0000 0.0000
3.0661 7.0397 0.0000
1.6880 3.1607 7.3142
Nb H I
1 3 6
Direct
0.0000 0.0000 0.0000
0.0000 0.5000 0.0000
0.4496 0.2351 0.7713
0.5504 0.7649 0.2287
0.0541 0.2226 0.1825
0.2654 0.1565 0.6921
0.3658 0.6552 0.1776
0.6342 0.3448 0.8224
0.7346 0.8435 0.3079
0.9459 0.7774 0.8175
```

Calculated powder XRD pattern
Compound: Y4NpAs5
Radiation: Cu Kα (λ = 1.5418 Å)
Structure: a crystal structure in Alexandria, relaxed with GGA-PBE

The 10 most intense peaks (2θ = 10–80°), sorted by position:
| d (Å) | 2θ/deg | I (rel.) |
| --- | --- | --- |
| 5.601 | 15.8 | 6 |
| 4.442 | 20.0 | 4 |
| 3.363 | 26.5 | 9 |
| 2.913 | 30.7 | 100 |
| 2.060 | 44.0 | 74 |
| 1.682 | 54.6 | 26 |
| 1.457 | 63.9 | 8 |
| 1.455 | 64.0 | 4 |
| 1.303 | 72.5 | 16 |
| 1.302 | 72.6 | 16 |

```
Y4NpAs5
1.0
-2.0587 2.9098 10.3138
2.0587 -2.9098 10.3138
2.0587 2.9098 -10.3138
Y Np As
4 1 5
Direct
0.1010 0.1010 0.0000
0.2989 0.2989 0.0000
0.7011 0.7011 0.0000
0.8990 0.8990 0.0000
0.5000 0.5000 0.0000
0.0000 0.5000 0.5000
0.2004 0.7004 0.5000
0.4016 0.9016 0.5000
0.5984 0.0984 0.5000
0.7996 0.2996 0.5000
```

Calculated powder XRD pattern
Compound: Np3P3Pt
Radiation: Cu Kα (λ = 1.5418 Å)
Structure: a crystal structure in Alexandria, relaxed with GGA-PBE

The 10 most intense peaks (2θ = 10–80°), sorted by position:
| d (Å) | 2θ/deg | I (rel.) |
| --- | --- | --- |
| 6.940 | 12.8 | 63 |
| 3.231 | 27.6 | 100 |
| 2.929 | 30.5 | 68 |
| 2.733 | 32.8 | 67 |
| 2.623 | 34.2 | 78 |
| 2.365 | 38.1 | 88 |
| 2.313 | 38.9 | 29 |
| 1.892 | 48.1 | 61 |
| 1.766 | 51.8 | 26 |
| 1.529 | 60.6 | 32 |

```
Np3P3Pt
1.0
8.0134 0.0000 0.0000
-4.0067 6.9398 0.0000
0.0000 0.0000 5.4654
Np P Pt
6 6 2
Direct
0.0902 0.4076 0.2500
0.3174 0.9098 0.2500
0.4076 0.3174 0.7500
0.5924 0.6826 0.2500
0.6826 0.0902 0.7500
0.9098 0.5924 0.7500
0.0730 0.3417 0.7500
0.2687 0.9270 0.7500
0.3417 0.2687 0.2500
0.6583 0.7313 0.7500
0.7313 0.0730 0.2500
0.9270 0.6583 0.2500
0.3333 0.6667 0.7500
0.6667 0.3333 0.2500
```

Calculated powder XRD pattern
Compound: Ba6Bi2Te3O18
Radiation: Cu Kα (λ = 1.5418 Å)
Structure: a crystal structure in Alexandria, relaxed with GGA-PBE

The 10 most intense peaks (2θ = 10–80°), sorted by position:
| d (Å) | 2θ/deg | I (rel.) |
| --- | --- | --- |
| 4.361 | 20.4 | 6 |
| 3.361 | 26.5 | 4 |
| 3.042 | 29.4 | 100 |
| 2.151 | 42.0 | 28 |
| 1.758 | 52.0 | 23 |
| 1.754 | 52.1 | 13 |
| 1.522 | 60.9 | 13 |
| 1.518 | 61.0 | 3 |
| 1.362 | 69.0 | 7 |
| 1.359 | 69.1 | 8 |

```
Ba6Bi2Te3O18
1.0
-3.0357 4.3089 9.1355
3.0357 -4.3089 9.1355
3.0357 4.3089 -9.1355
Ba Bi Te O
6 2 3 18
Direct
0.0796 0.3467 0.7329
0.2225 0.0000 0.2225
0.3862 0.6533 0.7329
0.6138 0.3467 0.2671
0.7775 0.0000 0.7775
0.9204 0.6533 0.2671
0.3337 0.8337 0.5000
0.6663 0.1663 0.5000
0.1686 0.1686 0.0000
0.5000 0.5000 0.0000
0.8314 0.8314 0.0000
0.0629 0.8317 0.2311
0.0942 0.3196 0.2254
0.0942 0.8688 0.7746
0.2446 0.0148 0.7702
0.2446 0.4744 0.2298
0.2778 0.5000 0.7778
0.3994 0.1683 0.2311
0.4226 0.1917 0.7692
0.4226 0.6534 0.2308
0.5774 0.3466 0.7692
0.5774 0.8083 0.2308
0.6006 0.8317 0.7689
0.7222 0.5000 0.2222
0.7554 0.5256 0.7702
0.7554 0.9852 0.2298
0.9058 0.1312 0.2254
0.9058 0.6804 0.7746
0.9371 0.1683 0.7689
```

Calculated powder XRD pattern
Compound: Pr4AlAu3
Radiation: Cu Kα (λ = 1.5418 Å)
Structure: a crystal structure in Alexandria, relaxed with GGA-PBE

The 10 most intense peaks (2θ = 10–80°), sorted by position:
| d (Å) | 2θ/deg | I (rel.) |
| --- | --- | --- |
| 2.936 | 30.4 | 100 |
| 2.902 | 30.8 | 27 |
| 2.762 | 32.4 | 24 |
| 2.476 | 36.3 | 35 |
| 2.388 | 37.7 | 76 |
| 2.375 | 37.9 | 35 |
| 1.972 | 46.0 | 20 |
| 1.529 | 60.6 | 20 |
| 1.517 | 61.1 | 17 |
| 1.285 | 73.7 | 18 |

```
Pr4AlAu3
1.0
3.9445 0.0000 0.0000
0.0000 4.7509 0.0000
0.0000 0.0000 11.6065
Pr Al Au
4 1 3
Direct
0.0000 0.0000 0.0000
0.0000 0.5000 0.2784
0.5000 0.0000 0.4963
0.5000 0.5000 0.7862
0.0000 0.0000 0.7147
0.0000 0.5000 0.5633
0.5000 0.0000 0.2238
0.5000 0.5000 0.0599
```

Calculated powder XRD pattern
Compound: Tb2NdSmTm4
Radiation: Cu Kα (λ = 1.5418 Å)
Structure: a crystal structure in Alexandria, relaxed with GGA-PBE

The 10 most intense peaks (2θ = 10–80°), sorted by position:
| d (Å) | 2θ/deg | I (rel.) |
| --- | --- | --- |
| 3.307 | 27.0 | 46 |
| 2.934 | 30.5 | 100 |
| 2.195 | 41.1 | 89 |
| 1.694 | 54.1 | 20 |
| 1.653 | 55.6 | 6 |
| 1.508 | 61.5 | 27 |
| 1.468 | 63.4 | 8 |
| 1.467 | 63.4 | 4 |
| 1.440 | 64.7 | 23 |
| 1.341 | 70.2 | 18 |

```
Tb2NdSmTm4
1.0
-3.3900 5.8663 6.6134
3.3900 -5.8663 6.6134
3.3900 5.8663 -6.6134
Tb Nd Sm Tm
4 2 2 8
Direct
0.0000 0.0000 0.0000
0.5000 0.0000 0.0000
0.5000 0.0000 0.5000
0.5000 0.5000 0.5000
0.0000 0.5000 0.5000
0.5000 0.5000 0.0000
0.0000 0.0000 0.5000
0.0000 0.5000 0.0000
0.2507 0.2492 0.0015
0.2513 0.2504 0.4991
0.2513 0.7522 0.0009
0.2523 0.7508 0.5015
0.7477 0.2492 0.4985
0.7487 0.2478 0.9991
0.7487 0.7496 0.5009
0.7493 0.7508 0.9985
```

Calculated powder XRD pattern
Compound: SrTaGe2S8
Radiation: Cu Kα (λ = 1.5418 Å)
Structure: a crystal structure in Alexandria, relaxed with GGA-PBE

The 10 most intense peaks (2θ = 10–80°), sorted by position:
| d (Å) | 2θ/deg | I (rel.) |
| --- | --- | --- |
| 8.559 | 10.3 | 28 |
| 5.307 | 16.7 | 46 |
| 4.510 | 19.7 | 70 |
| 3.331 | 26.8 | 100 |
| 3.064 | 29.1 | 66 |
| 2.491 | 36.1 | 38 |
| 2.255 | 40.0 | 40 |
| 1.816 | 50.2 | 39 |
| 1.769 | 51.7 | 38 |
| 1.754 | 52.1 | 49 |

```
SrTaGe2S8
1.0
6.1274 0.0000 0.0000
-3.0637 5.3065 0.0000
0.0000 0.0000 8.5593
Sr Ta Ge S
1 1 2 8
Direct
0.0000 0.0000 0.0000
0.0000 0.0000 0.5000
0.3333 0.6667 0.7367
0.6667 0.3333 0.2633
0.0206 0.6917 0.3286
0.3083 0.3289 0.3286
0.3289 0.0206 0.6714
0.3333 0.6667 0.9935
0.6667 0.3333 0.0065
0.6711 0.9794 0.3286
0.6917 0.6711 0.6714
0.9794 0.3083 0.6714
```